Entry 1:
The following is a simulated powder X-ray diffraction pattern of Ag5SbAu6. It was derived from a DFT-relaxed cell (PBE, Alexandria), using Cu Kα (weighted mean of Kα1 and Kα2).

Cell and atoms:
```
data_Ag5SbAu6
_symmetry_space_group_name_H-M 'C 1 2/m 1'
_symmetry_Int_Tables_number 12
_symmetry_space_group_name_Hall '-C 2y'
_cell_length_a 4.248
_cell_length_b 12.711
_cell_length_c 8.241
_cell_angle_alpha 90.00
_cell_angle_beta 90.38
_cell_angle_gamma 90.00
loop_
_atom_site_label
_atom_site_fract_x
_atom_site_fract_y
_atom_site_fract_z
Ag1 0.000 0.000 0.000
Ag2 0.000 0.329 0.500
Ag3 0.000 0.334 0.000
Sb1 0.000 0.000 0.500
Au1 0.000 0.500 0.244
Au2 0.001 0.169 0.246
```

Largest 10 diffraction maxima, by angle, 2θ from 15° to 90°:
- 21.57 deg, rel. 13
- 36.98 deg, rel. 100
- 37.15 deg, rel. 99
- 42.57 deg, rel. 34
- 42.68 deg, rel. 33
- 43.95 deg, rel. 31
- 61.86 deg, rel. 22
- 62.93 deg, rel. 21
- 74.12 deg, rel. 13
- 74.42 deg, rel. 26

Entry 2:
The following is a simulated powder X-ray diffraction pattern of SiBiIrAu. It was derived from a DFT-relaxed cell (PBE, Alexandria), using Cu Kα (weighted mean of Kα1 and Kα2).

Cell and atoms:
```
data_SiBiIrAu
_symmetry_space_group_name_H-M 'P 1'
_symmetry_Int_Tables_number 1
_symmetry_space_group_name_Hall 'P 1'
_cell_length_a 4.040
_cell_length_b 4.044
_cell_length_c 6.525
_cell_angle_alpha 72.12
_cell_angle_beta 71.99
_cell_angle_gamma 60.13
loop_
_atom_site_label
_atom_site_fract_x
_atom_site_fract_y
_atom_site_fract_z
Si1 0.000 0.000 0.000
Bi1 0.806 0.810 0.574
Ir1 0.658 0.658 0.025
Au1 0.232 0.234 0.301
```

Largest 10 diffraction maxima, by angle, 2θ from 15° to 90°:
- 25.90 deg, rel. 17
- 27.26 deg, rel. 100
- 35.48 deg, rel. 77
- 43.11 deg, rel. 20
- 43.23 deg, rel. 40
- 44.79 deg, rel. 43
- 44.87 deg, rel. 21
- 58.48 deg, rel. 12
- 64.00 deg, rel. 19
- 78.65 deg, rel. 12

Entry 3:
The following is a simulated powder X-ray diffraction pattern of Y3Zn6Ga5. It was derived from a DFT-relaxed cell (PBE, Alexandria), using Cu Kα (weighted mean of Kα1 and Kα2).

Cell and atoms:
```
data_Y3Zn6Ga5
_symmetry_space_group_name_H-M 'P m m n'
_symmetry_Int_Tables_number 59
_cell_length_a 4.238
_cell_length_b 12.511
_cell_length_c 9.699
_cell_angle_alpha 90.00
_cell_angle_beta 90.00
_cell_angle_gamma 90.00
loop_
_symmetry_equiv_pos_as_xyz
'x,y,z'
'-x,-y,-z'
'-x+1/2,-y+1/2,z'
'x+1/2,y+1/2,-z'
'x+1/2,-y,-z'
'-x+1/2,y,z'
'-x,y+1/2,-z'
'x,-y+1/2,z'
loop_
_atom_site_label
_atom_site_fract_x
_atom_site_fract_y
_atom_site_fract_z
Y1 0.250 0.062 0.248
Y2 0.250 0.750 0.252
Zn1 0.250 0.088 0.617
Zn2 0.250 0.250 0.039
Zn3 0.250 0.250 0.456
Zn4 0.250 0.603 0.979
Ga1 0.250 0.092 0.873
Ga2 0.250 0.611 0.527
Ga3 0.250 0.750 0.766
```

Largest 10 diffraction maxima, by angle, 2θ from 15° to 90°:
- 34.91 deg, rel. 21
- 35.12 deg, rel. 16
- 35.42 deg, rel. 100
- 37.84 deg, rel. 19
- 42.67 deg, rel. 35
- 43.40 deg, rel. 23
- 43.61 deg, rel. 12
- 62.49 deg, rel. 15
- 65.73 deg, rel. 15
- 73.42 deg, rel. 12

Entry 4:
The following is a simulated powder X-ray diffraction pattern of Nb2Ni5Ge3H2. It was derived from a DFT-relaxed cell (PBE, Alexandria), using Cu Kα (weighted mean of Kα1 and Kα2).

Cell and atoms:
```
data_Nb2Ni5Ge3H2
_symmetry_space_group_name_H-M 'I 4/m m m'
_symmetry_Int_Tables_number 139
_symmetry_space_group_name_Hall '-I 4 2'
_cell_length_a 3.668
_cell_length_b 3.668
_cell_length_c 20.422
_cell_angle_alpha 90.00
_cell_angle_beta 90.00
_cell_angle_gamma 90.00
loop_
_atom_site_label
_atom_site_fract_x
_atom_site_fract_y
_atom_site_fract_z
Nb1 0.000 0.000 0.201
Ni1 0.000 0.000 0.000
Ni2 0.000 0.500 0.088
Ge1 0.000 0.000 0.331
Ge2 0.000 0.000 0.500
H1 0.000 0.000 0.087
```

Largest 10 diffraction maxima, by angle, 2θ from 15° to 90°:
- 34.58 deg, rel. 14
- 35.72 deg, rel. 22
- 38.95 deg, rel. 34
- 39.47 deg, rel. 21
- 43.89 deg, rel. 100
- 44.36 deg, rel. 15
- 49.71 deg, rel. 53
- 68.80 deg, rel. 15
- 72.95 deg, rel. 16
- 89.20 deg, rel. 24

Entry 5:
The following is a simulated powder X-ray diffraction pattern of Tb8SmSc4. It was derived from a DFT-relaxed cell (PBE, Alexandria), using Cu Kα (weighted mean of Kα1 and Kα2).

Cell and atoms:
```
data_Tb8SmSc4
_symmetry_space_group_name_H-M 'R -3 m'
_symmetry_Int_Tables_number 166
_symmetry_space_group_name_Hall '-R 3 2"'
_cell_length_a 7.0940
_cell_length_b 7.0940
_cell_length_c 26.8842
_cell_angle_alpha 90.00
_cell_angle_beta 90.00
_cell_angle_gamma 120.00
loop_
_atom_site_label
_atom_site_fract_x
_atom_site_fract_y
_atom_site_fract_z
Tb1 0.0000 0.0000 0.2172
Tb2 0.0312 0.5156 0.7631
Sm1 0.0000 0.0000 0.5000
Sc1 0.0000 0.0000 0.0000
Sc2 0.0000 0.5000 0.0000
```

Largest 10 diffraction maxima, by angle, 2θ from 15° to 90°:
- 19.81 deg, rel. 20
- 29.86 deg, rel. 64
- 32.04 deg, rel. 100
- 33.60 deg, rel. 20
- 36.48 deg, rel. 13
- 37.49 deg, rel. 20
- 39.76 deg, rel. 30
- 47.55 deg, rel. 17
- 51.53 deg, rel. 29
- 60.72 deg, rel. 18

Entry 6:
The following is a simulated powder X-ray diffraction pattern of Pm2NdSn2Hg2. It was derived from a DFT-relaxed cell (PBE, Alexandria), using Cu Kα (weighted mean of Kα1 and Kα2).

Cell and atoms:
```
data_Pm2NdSn2Hg2
_symmetry_space_group_name_H-M 'R -3 m'
_symmetry_Int_Tables_number 166
_symmetry_space_group_name_Hall '-R 3 2"'
_cell_length_a 5.0060
_cell_length_b 5.0060
_cell_length_c 27.7820
_cell_angle_alpha 90.00
_cell_angle_beta 90.00
_cell_angle_gamma 120.00
loop_
_atom_site_label
_atom_site_fract_x
_atom_site_fract_y
_atom_site_fract_z
Pm1 0.0000 0.0000 0.1308
Nd1 0.0000 0.0000 0.0000
Sn1 0.0000 0.0000 0.2708
Hg1 0.0000 0.0000 0.4284
```

Largest 10 diffraction maxima, by angle, 2θ from 15° to 90°:
- 19.17 deg, rel. 11
- 30.54 deg, rel. 100
- 35.88 deg, rel. 78
- 40.99 deg, rel. 10
- 47.43 deg, rel. 9
- 47.81 deg, rel. 29
- 50.59 deg, rel. 14
- 61.19 deg, rel. 28
- 64.48 deg, rel. 14
- 84.12 deg, rel. 12

Entry 7:
The following is a simulated powder X-ray diffraction pattern of CaAgAs. It was derived from a DFT-relaxed cell (PBE, Alexandria), using Cu Kα (weighted mean of Kα1 and Kα2).

Cell and atoms:
```
data_CaAgAs
_symmetry_space_group_name_H-M 'P m n 21'
_symmetry_Int_Tables_number 31
_symmetry_space_group_name_Hall 'P 2ac -2'
_cell_length_a 4.435
_cell_length_b 4.159
_cell_length_c 7.672
_cell_angle_alpha 90.00
_cell_angle_beta 90.00
_cell_angle_gamma 90.00
loop_
_atom_site_label
_atom_site_fract_x
_atom_site_fract_y
_atom_site_fract_z
Ca1 0.000 0.001 0.000
Ag1 0.000 0.500 0.667
As1 0.000 0.449 0.334
```

Largest 10 diffraction maxima, by angle, 2θ from 15° to 90°:
- 21.37 deg, rel. 47
- 23.17 deg, rel. 20
- 31.72 deg, rel. 100
- 40.71 deg, rel. 68
- 43.52 deg, rel. 16
- 46.43 deg, rel. 36
- 52.51 deg, rel. 22
- 61.12 deg, rel. 34
- 68.50 deg, rel. 19
- 74.10 deg, rel. 11

Entry 8:
The following is a simulated powder X-ray diffraction pattern of Ac5Cu2. It was derived from a DFT-relaxed cell (PBE, Alexandria), using Cu Kα (weighted mean of Kα1 and Kα2).

Cell and atoms:
```
data_Ac5Cu2
_symmetry_space_group_name_H-M 'C 1 2/c 1'
_symmetry_Int_Tables_number 15
_symmetry_space_group_name_Hall '-C 2yc'
_cell_length_a 18.519
_cell_length_b 7.092
_cell_length_c 7.673
_cell_angle_alpha 90.00
_cell_angle_beta 96.55
_cell_angle_gamma 90.00
loop_
_atom_site_label
_atom_site_fract_x
_atom_site_fract_y
_atom_site_fract_z
Ac1 0.000 0.076 0.250
Ac2 0.096 0.404 0.924
Ac3 0.215 0.081 0.302
Cu1 0.108 0.185 0.575
```

Largest 10 diffraction maxima, by angle, 2θ from 15° to 90°:
- 26.50 deg, rel. 29
- 27.30 deg, rel. 100
- 27.75 deg, rel. 62
- 28.64 deg, rel. 53
- 29.00 deg, rel. 54
- 29.88 deg, rel. 36
- 30.86 deg, rel. 23
- 32.16 deg, rel. 24
- 46.47 deg, rel. 26
- 49.84 deg, rel. 26